Starting from a GGA-PBE-relaxed structure, the X-ray diffraction stick pattern of LiAlS2 was computed for λ = 1.5418 Å (Cu Kα).
Neutral-atom scattering factors, no anomalous dispersion.

Most intense lines, 5° ≤ 2θ ≤ 70°, by angle:
2theta, intensity, index
12.8, 39, 0 0 1
19.1, 51, 0 1 1
25.7, 38, 0 0 2
27.2, 100, 1 0 1
28.6, 88, 0 2 0
29.4, 52, 0 1 2
30.8, 87, 1 1 1
46.2, 67, 1 0 3
52.0, 56, 1 3 1
55.3, 42, 1 2 3

Structural model:
```
LiAlS2
1.0
3.715 0.000 0.000
0.000 6.251 0.000
-0.007 0.000 6.938
Li Al S
2 2 4
direct
0.001 0.000 0.334
0.999 0.500 0.666
0.499 0.000 0.846
0.501 0.500 0.154
0.001 0.393 0.322
0.499 0.365 0.853
0.501 0.865 0.147
0.999 0.893 0.678
```